Record 1
# Na2TlIn4
Calculated XRD peak list, Cu Kα, 1.54184 Å. Input: the GGA-PBE geometry in Alexandria.
No peak broadening, texture or thermal motion is included.

Crystal structure
```
data_Na2TlIn4
_chemical_formula_sum 'Na8 Tl4 In16'
_cell_length_a 12.169
_cell_length_b 6.242
_cell_length_c 10.979
_cell_angle_alpha 90.00
_cell_angle_beta 90.00
_cell_angle_gamma 90.00
_space_group_name_H-M_alt 'C m c e'
_space_group_IT_number 64
_space_group_name_Hall '-C 2ac 2'
loop_
_atom_site_label
_atom_site_type_symbol
_atom_site_fract_x
_atom_site_fract_y
_atom_site_fract_z
Na1 Na 0.148 0.000 0.000
Tl1 Tl 0.000 0.000 0.500
In1 In 0.000 0.247 0.249
In2 In 0.250 0.247 0.750
```

Main lines, most intense first (10 to 90 degrees two-theta):
- 2θ 33.01, intensity 100
- 2θ 44.75, intensity 68
- 2θ 29.36, intensity 52
- 2θ 32.62, intensity 52
- 2θ 17.90, intensity 49
- 2θ 44.44, intensity 38
- 2θ 27.45, intensity 38
- 2θ 16.15, intensity 28
- 2θ 14.56, intensity 23
- 2θ 58.47, intensity 22

Record 2
# ZnMo2Pb
Calculated XRD peak list, Cu Kα, 1.54184 Å. Input: the GGA-PBE geometry in Alexandria.
No peak broadening, texture or thermal motion is included.

Crystal structure
```
data_ZnMo2Pb
_chemical_formula_sum 'Zn2 Mo4 Pb2'
_cell_length_a 9.441
_cell_length_b 3.274
_cell_length_c 4.950
_cell_angle_alpha 90.00
_cell_angle_beta 99.61
_cell_angle_gamma 90.00
_space_group_name_H-M_alt 'C 1 2/m 1'
_space_group_IT_number 12
_space_group_name_Hall '-C 2y'
loop_
_atom_site_label
_atom_site_type_symbol
_atom_site_fract_x
_atom_site_fract_y
_atom_site_fract_z
Zn1 Zn 0.000 0.000 0.000
Mo1 Mo 0.247 0.500 0.187
Pb1 Pb 0.000 0.500 0.500
```

Main lines, most intense first (10 to 90 degrees two-theta):
- 2θ 35.24, intensity 100
- 2θ 38.69, intensity 74
- 2θ 42.10, intensity 62
- 2θ 63.09, intensity 29
- 2θ 70.31, intensity 25
- 2θ 24.12, intensity 25
- 2θ 44.72, intensity 21
- 2θ 76.82, intensity 20
- 2θ 28.63, intensity 19
- 2θ 46.11, intensity 16

Record 3
# Hf6Be15Cu8
Calculated XRD peak list, Cu Kα, 1.54184 Å. Input: the GGA-PBE geometry in Alexandria.
No peak broadening, texture or thermal motion is included.

Crystal structure
```
data_Hf6Be15Cu8
_chemical_formula_sum 'Hf24 Be60 Cu32'
_cell_length_a 11.080
_cell_length_b 11.080
_cell_length_c 11.080
_cell_angle_alpha 90.00
_cell_angle_beta 90.00
_cell_angle_gamma 90.00
_space_group_name_H-M_alt 'F m -3 m'
_space_group_IT_number 225
_space_group_name_Hall '-F 4 2 3'
loop_
_atom_site_label
_atom_site_type_symbol
_atom_site_fract_x
_atom_site_fract_y
_atom_site_fract_z
Hf1 Hf 0.000 0.000 0.202
Be1 Be 0.000 0.000 0.500
Be2 Be 0.000 0.250 0.250
Be3 Be 0.176 0.176 0.176
Cu1 Cu 0.123 0.123 0.377
```

Main lines, most intense first (10 to 90 degrees two-theta):
- 2θ 42.39, intensity 100
- 2θ 27.89, intensity 94
- 2θ 35.31, intensity 83
- 2θ 46.36, intensity 73
- 2θ 16.00, intensity 54
- 2θ 39.86, intensity 34
- 2θ 69.43, intensity 31
- 2θ 72.37, intensity 24
- 2θ 64.61, intensity 21
- 2θ 59.59, intensity 21

Record 4
# SrSb2
Calculated XRD peak list, Cu Kα, 1.54184 Å. Input: the GGA-PBE geometry in Alexandria.
No peak broadening, texture or thermal motion is included.

Crystal structure
```
data_SrSb2
_chemical_formula_sum 'Sr4 Sb8'
_cell_length_a 4.348
_cell_length_b 18.272
_cell_length_c 4.892
_cell_angle_alpha 90.00
_cell_angle_beta 90.00
_cell_angle_gamma 90.00
_space_group_name_H-M_alt 'C m m 2'
_space_group_IT_number 35
_space_group_name_Hall 'C 2 -2'
loop_
_atom_site_label
_atom_site_type_symbol
_atom_site_fract_x
_atom_site_fract_y
_atom_site_fract_z
Sr1 Sr 0.000 0.144 0.000
Sb1 Sb 0.000 0.000 0.493
Sb2 Sb 0.000 0.305 0.501
Sb3 Sb 0.000 0.500 0.078
```

Main lines, most intense first (10 to 90 degrees two-theta):
- 2θ 31.19, intensity 100
- 2θ 29.33, intensity 19
- 2θ 36.74, intensity 17
- 2θ 41.54, intensity 14
- 2θ 62.75, intensity 12
- 2θ 26.70, intensity 10
- 2θ 69.37, intensity 10
- 2θ 31.99, intensity 10
- 2θ 56.65, intensity 9
- 2θ 55.67, intensity 9

Record 5
# Na2AgHgBr4
Calculated XRD peak list, Cu Kα, 1.54184 Å. Input: the GGA-PBE geometry in Alexandria.
No peak broadening, texture or thermal motion is included.

Crystal structure
```
data_Na2AgHgBr4
_chemical_formula_sum 'Na4 Ag2 Hg2 Br8'
_cell_length_a 5.967
_cell_length_b 5.967
_cell_length_c 12.499
_cell_angle_alpha 90.00
_cell_angle_beta 90.00
_cell_angle_gamma 90.00
_space_group_name_H-M_alt 'I -4 m 2'
_space_group_IT_number 119
_space_group_name_Hall 'I -4 -2'
loop_
_atom_site_label
_atom_site_type_symbol
_atom_site_fract_x
_atom_site_fract_y
_atom_site_fract_z
Na1 Na 0.000 0.000 0.000
Na2 Na 0.000 0.500 0.250
Ag1 Ag 0.000 0.500 0.750
Hg1 Hg 0.000 0.000 0.500
Br1 Br 0.000 0.000 0.236
Br2 Br 0.000 0.500 0.509
```

Main lines, most intense first (10 to 90 degrees two-theta):
- 2θ 29.95, intensity 100
- 2θ 41.86, intensity 76
- 2θ 16.46, intensity 59
- 2θ 28.57, intensity 54
- 2θ 52.32, intensity 39
- 2θ 42.87, intensity 37
- 2θ 26.09, intensity 30
- 2θ 77.84, intensity 24
- 2θ 34.36, intensity 21
- 2θ 40.13, intensity 20

Record 6
# Sc5GaSb2
Calculated XRD peak list, Cu Kα, 1.54184 Å. Input: the GGA-PBE geometry in Alexandria.
No peak broadening, texture or thermal motion is included.

Crystal structure
```
data_Sc5GaSb2
_chemical_formula_sum 'Sc20 Ga4 Sb8'
_cell_length_a 5.236
_cell_length_b 10.558
_cell_length_c 13.578
_cell_angle_alpha 90.00
_cell_angle_beta 90.00
_cell_angle_gamma 90.00
_space_group_name_H-M_alt 'C m c m'
_space_group_IT_number 63
_space_group_name_Hall '-C 2c 2'
loop_
_atom_site_label
_atom_site_type_symbol
_atom_site_fract_x
_atom_site_fract_y
_atom_site_fract_z
Sc1 Sc 0.000 0.061 0.250
Sc2 Sc 0.000 0.119 0.552
Sc3 Sc 0.000 0.418 0.595
Ga1 Ga 0.000 0.224 0.750
Sb1 Sb 0.000 0.293 0.119
```

Main lines, most intense first (10 to 90 degrees two-theta):
- 2θ 36.61, intensity 100
- 2θ 34.25, intensity 57
- 2θ 38.32, intensity 47
- 2θ 16.79, intensity 40
- 2θ 32.56, intensity 33
- 2θ 27.38, intensity 29
- 2θ 34.62, intensity 29
- 2θ 40.75, intensity 21
- 2θ 49.49, intensity 20
- 2θ 62.89, intensity 20

Record 7
# LiPa2S6
Calculated XRD peak list, Cu Kα, 1.54184 Å. Input: the GGA-PBE geometry in Alexandria.
No peak broadening, texture or thermal motion is included.

Crystal structure
```
data_LiPa2S6
_chemical_formula_sum 'Li1 Pa2 S6'
_cell_length_a 7.1768
_cell_length_b 7.1768
_cell_length_c 4.0530
_cell_angle_alpha 90.00
_cell_angle_beta 90.00
_cell_angle_gamma 120.00
_space_group_name_H-M_alt 'P -3'
_space_group_IT_number 147
_space_group_name_Hall '-P 3'
loop_
_atom_site_label
_atom_site_type_symbol
_atom_site_fract_x
_atom_site_fract_y
_atom_site_fract_z
Li1 Li 0.0000 0.0000 0.0000
Pa1 Pa 0.3333 0.6667 0.7513
S1 S 0.0858 0.7001 0.2506
```

Main lines, most intense first (10 to 90 degrees two-theta):
- 2θ 14.25, intensity 100
- 2θ 26.25, intensity 99
- 2θ 36.43, intensity 87
- 2θ 44.58, intensity 78
- 2θ 24.81, intensity 72
- 2θ 43.69, intensity 34
- 2θ 69.94, intensity 26
- 2θ 86.27, intensity 26
- 2θ 58.15, intensity 22
- 2θ 64.30, intensity 21

Record 8
# Pr6AgIr3
Calculated XRD peak list, Cu Kα, 1.54184 Å. Input: the GGA-PBE geometry in Alexandria.
No peak broadening, texture or thermal motion is included.

Crystal structure
```
data_Pr6AgIr3
_chemical_formula_sum 'Pr12 Ag2 Ir6'
_cell_length_a 12.080
_cell_length_b 4.285
_cell_length_c 12.170
_cell_angle_alpha 90.00
_cell_angle_beta 108.57
_cell_angle_gamma 90.00
_space_group_name_H-M_alt 'P 1 21/m 1'
_space_group_IT_number 11
_space_group_name_Hall '-P 2yb'
loop_
_atom_site_label
_atom_site_type_symbol
_atom_site_fract_x
_atom_site_fract_y
_atom_site_fract_z
Pr1 Pr 0.043 0.250 0.405
Pr2 Pr 0.110 0.250 0.958
Pr3 Pr 0.206 0.750 0.266
Pr4 Pr 0.263 0.750 0.771
Pr5 Pr 0.371 0.250 0.547
Pr6 Pr 0.434 0.750 0.096
Ag1 Ag 0.431 0.250 0.301
Ir1 Ir 0.039 0.250 0.171
Ir2 Ir 0.199 0.750 0.511
Ir3 Ir 0.340 0.250 0.931
```

Main lines, most intense first (10 to 90 degrees two-theta):
- 2θ 28.51, intensity 100
- 2θ 31.39, intensity 90
- 2θ 42.18, intensity 76
- 2θ 38.83, intensity 65
- 2θ 29.92, intensity 64
- 2θ 34.04, intensity 59
- 2θ 24.28, intensity 55
- 2θ 37.79, intensity 55
- 2θ 14.90, intensity 45
- 2θ 22.09, intensity 42

Record 9
# NdSm4Se7
Calculated XRD peak list, Cu Kα, 1.54184 Å. Input: the GGA-PBE geometry in Alexandria.
No peak broadening, texture or thermal motion is included.

Crystal structure
```
data_NdSm4Se7
_chemical_formula_sum 'Nd2 Sm8 Se14'
_cell_length_a 13.773
_cell_length_b 4.067
_cell_length_c 12.439
_cell_angle_alpha 90.00
_cell_angle_beta 104.55
_cell_angle_gamma 90.00
_space_group_name_H-M_alt 'C 1 m 1'
_space_group_IT_number 8
_space_group_name_Hall 'C -2y'
loop_
_atom_site_label
_atom_site_type_symbol
_atom_site_fract_x
_atom_site_fract_y
_atom_site_fract_z
Nd1 Nd 0.000 0.000 0.000
Sm1 Sm 0.113 0.000 0.422
Sm2 Sm 0.225 0.000 0.842
Sm3 Sm 0.313 0.500 0.234
Sm4 Sm 0.413 0.000 0.609
Se1 Se 0.071 0.000 0.637
Se2 Se 0.114 0.500 0.919
Se3 Se 0.155 0.000 0.208
Se4 Se 0.273 0.500 0.472
Se5 Se 0.353 0.500 0.770
Se6 Se 0.369 0.000 0.071
Se7 Se 0.453 0.000 0.371
```

Main lines, most intense first (10 to 90 degrees two-theta):
- 2θ 30.97, intensity 100
- 2θ 22.83, intensity 94
- 2θ 22.24, intensity 91
- 2θ 29.44, intensity 77
- 2θ 31.94, intensity 77
- 2θ 44.56, intensity 61
- 2θ 36.37, intensity 53
- 2θ 39.16, intensity 52
- 2θ 42.74, intensity 50
- 2θ 29.78, intensity 45